This entry pairs a crystal structure of KNdV4O12 with its simulated X-ray powder pattern. Radiation: CuKα. Structure: a DFT-relaxed cell (GGA+U, Alexandria).
Peak positions follow from Bragg's law for the DFT cell and can differ from measured ones.

Crystal structure
```
KNdV4O12
1.0
7.247 0.000 0.000
0.000 3.481 5.242
0.000 -3.481 5.242
K Nd V O
1 1 4 12
direct
0.000 0.000 0.000
0.500 0.451 0.451
0.253 0.487 0.974
0.253 0.974 0.487
0.747 0.487 0.974
0.747 0.974 0.487
0.000 0.450 0.998
0.000 0.998 0.450
0.220 0.793 0.793
0.261 0.295 0.295
0.299 0.345 0.803
0.299 0.803 0.345
0.500 0.031 0.562
0.500 0.562 0.031
0.701 0.345 0.803
0.701 0.803 0.345
0.739 0.295 0.295
0.780 0.793 0.793
```

The 10 most intense peaks (15° ≤ 2θ ≤ 90°), low angle first:
| 2θ (°) | I_rel |
| --- | --- |
| 15.28 | 28 |
| 19.61 | 100 |
| 20.91 | 21 |
| 29.98 | 60 |
| 30.84 | 66 |
| 31.18 | 24 |
| 34.21 | 19 |
| 35.77 | 29 |
| 50.35 | 35 |
| 60.23 | 18 |